# TmTe2O5
Theoretical powder X-ray diffraction pattern, Cu Kα (λ = 1.5418 Å). Input: a structure optimized by DFT (GGA-PBE).
Intensities are scaled so that the largest is 100.

Atomic structure:
```
data_TmTe2O5
_chemical_formula_sum 'Tm4 Te8 O20'
_space_group_name_H-M_alt 'P b c n'
_space_group_IT_number 60
_space_group_name_Hall '-P 2n 2ab'
_cell_length_a 7.338
_cell_length_b 10.628
_cell_length_c 6.931
_cell_angle_alpha 90.00
_cell_angle_beta 90.00
_cell_angle_gamma 90.00
loop_
_atom_site_label
_atom_site_type_symbol
_atom_site_fract_x
_atom_site_fract_y
_atom_site_fract_z
Tm1 Tm 0.000 0.056 0.250
Te1 Te 0.110 0.350 0.014
O1 O 0.000 0.438 0.250
O2 O 0.155 0.066 0.532
O3 O 0.185 0.211 0.173
```

Largest 10 diffraction maxima, by angle, 2θ = 15–90°:
- 2θ = 19.50°, rel. 37, hkl 1 1 1
- 2θ = 24.32°, rel. 100, hkl 2 0 0
- 2θ = 27.97°, rel. 63, hkl 1 3 0
- 2θ = 28.79°, rel. 68, hkl 2 1 1
- 2θ = 29.72°, rel. 93, hkl 1 1 2
- 2θ = 30.83°, rel. 59, hkl 0 2 2
- 2θ = 39.59°, rel. 23, hkl 2 2 2
- 2θ = 42.72°, rel. 37, hkl 3 2 1
- 2θ = 51.40°, rel. 24, hkl 2 5 1
- 2θ = 56.78°, rel. 24, hkl 4 0 2